Theoretical X-ray diffraction stick pattern of Sr2AlPbSe5 for CuKα, from a DFT-relaxed cell (PBE, Alexandria).
Peak positions follow from Bragg's law for the DFT cell and can differ from measured ones.

Crystal structure
Cell lengths 4.118, 18.714, 13.160 Å; angles 90.00, 90.00, 90.00 degrees
Space group Cmc2_1 (No. 36)
Asymmetric unit:
Sr: 0.000 0.112 0.000 (multiplicity 4)
Sr: 0.000 0.123 0.652 (multiplicity 4)
Al: 0.000 0.448 0.737 (multiplicity 4)
Pb: 0.000 0.206 0.358 (multiplicity 4)
Se: 0.000 0.028 0.337 (multiplicity 4)
Se: 0.000 0.284 0.014 (multiplicity 4)
Se: 0.000 0.323 0.688 (multiplicity 4)
Se: 0.000 0.355 0.328 (multiplicity 4)
Se: 0.000 0.493 0.078 (multiplicity 4)

Top 8 peaks for 10 to 80 degrees two-theta, by intensity:
2θ/deg  I/Imax  (hkl)
30.1  100.0  1 1 3
35.2  56.0  1 5 2
29.4  44.2  0 6 1
42.6  22.7  1 5 4
44.0  20.6  2 0 0
53.8  17.6  2 6 1
49.2  16.4  1 7 4
16.5  15.3  0 2 2

=====

Theoretical X-ray diffraction stick pattern of La8CeNd5 for CuKα, from a DFT-relaxed cell (PBE, Alexandria).
Peak positions follow from Bragg's law for the DFT cell and can differ from measured ones.

Crystal structure
Cell lengths 8.708, 8.718, 8.751 Å; angles 112.86, 114.70, 100.80 degrees
Space group P1 (No. 1)
Asymmetric unit:
La: 0.000 0.000 0.000 (multiplicity 1)
La: 0.001 0.622 0.208 (multiplicity 1)
La: 0.183 0.079 0.684 (multiplicity 1)
La: 0.201 0.691 0.900 (multiplicity 1)
La: 0.334 0.489 0.217 (multiplicity 1)
La: 0.489 0.860 0.725 (multiplicity 1)
La: 0.587 0.206 0.216 (multiplicity 1)
La: 0.600 0.500 0.690 (multiplicity 1)
Ce: 0.531 0.406 0.950 (multiplicity 1)
Nd: 0.089 0.347 0.444 (multiplicity 1)
Nd: 0.381 0.015 0.399 (multiplicity 1)
Nd: 0.724 0.879 0.218 (multiplicity 1)
Nd: 0.811 0.677 0.495 (multiplicity 1)
Nd: 0.860 0.232 0.719 (multiplicity 1)

Top 8 peaks for 10 to 80 degrees two-theta, by intensity:
2θ/deg  I/Imax  (hkl)
30.9  100.0  1 1 -3
32.2  82.5  0 3 -2
30.0  52.8  2 -2 1
28.9  46.4  -1 2 1
33.6  44.4  -3 1 2
25.9  33.6  2 1 -1
31.8  19.9  1 2 0
52.0  17.4  1 -3 4

=====

Theoretical X-ray diffraction stick pattern of Hf6ZrAl for CuKα, from a DFT-relaxed cell (PBE, Alexandria).
Peak positions follow from Bragg's law for the DFT cell and can differ from measured ones.

Crystal structure
Cell lengths 4.256, 8.964, 9.056 Å; angles 90.00, 90.00, 90.00 degrees
Space group Amm2 (No. 38)
Asymmetric unit:
Hf: 0.000 0.000 0.000 (multiplicity 2)
Hf: 0.000 0.244 0.752 (multiplicity 4)
Hf: 0.500 0.000 0.249 (multiplicity 2)
Hf: 0.500 0.248 0.003 (multiplicity 4)
Zr: 0.000 0.000 0.505 (multiplicity 2)
Al: 0.500 0.000 0.753 (multiplicity 2)

Top 8 peaks for 10 to 80 degrees two-theta, by intensity:
2θ/deg  I/Imax  (hkl)
35.2  100.0  1 2 2
39.8  17.8  0 0 4
40.2  17.2  0 4 0
42.5  15.8  2 0 0
69.3  14.2  1 2 6
69.9  13.5  1 6 2
73.0  12.1  3 2 2
57.9  11.9  0 4 4

=====

Theoretical X-ray diffraction stick pattern of Mg2NiSb for CuKα, from a DFT-relaxed cell (PBE, Alexandria).
Peak positions follow from Bragg's law for the DFT cell and can differ from measured ones.

Crystal structure
Cell lengths 4.4777, 4.4777, 4.9101 Å; angles 90.00, 90.00, 120.00 degrees
Space group P-3m1 (No. 164)
Asymmetric unit:
Mg: 0.3333 0.6667 0.1841 (multiplicity 2)
Ni: 0.0000 0.0000 0.0000 (multiplicity 1)
Sb: 0.0000 0.0000 0.5000 (multiplicity 1)

Top 8 peaks for 10 to 80 degrees two-theta, by intensity:
2θ/deg  I/Imax  (hkl)
22.9  100.0  1 0 0
43.6  59.1  0 1 2
40.3  49.6  1 1 0
29.3  25.0  1 0 1
75.6  21.9  1 2 2
60.9  21.1  2 0 2
55.6  15.2  1 1 2
46.9  14.5  2 0 0